[1]
This entry pairs a crystal structure of V2Ga4Pt with its theoretical powder diffraction line list. Radiation: Cu Kα X-rays. Structure: a structure optimized by DFT (GGA-PBE).

Most intense lines, 10° ≤ 2θ ≤ 80°, most intense first:
2.157 Å, rel. 100, (2 2 1)
6.599 Å, rel. 80, (0 1 0)
2.214 Å, rel. 64, (1 1 -2)
2.129 Å, rel. 63, (1 1 3)
2.244 Å, rel. 60, (1 -2 2)
2.501 Å, rel. 58, (2 1 1)
6.276 Å, rel. 58, (0 0 1)
2.055 Å, rel. 43, (0 3 1)
1.922 Å, rel. 42, (1 3 -1)
2.221 Å, rel. 41, (-1 2 1)

Structure:
```
data_V2Ga4Pt
_chemical_formula_sum 'V4 Ga8 Pt2'
_symmetry_space_group_name_H-M 'P 1'
_symmetry_Int_Tables_number 1
_symmetry_space_group_name_Hall 'P 1'
_cell_length_a 5.1884
_cell_length_b 6.6501
_cell_length_c 6.7184
_cell_angle_alpha 89.28
_cell_angle_beta 69.18
_cell_angle_gamma 83.11
loop_
_atom_site_label
_atom_site_fract_x
_atom_site_fract_y
_atom_site_fract_z
V1 0.0000 0.0000 0.0000
V2 0.1075 0.1303 0.3757
V3 0.2708 0.4611 0.3741
V4 0.6165 0.1205 0.3606
Ga1 0.1685 0.2737 0.7248
Ga2 0.3230 0.8194 0.5928
Ga3 0.4754 0.2377 0.0265
Ga4 0.5127 0.8335 0.1481
Ga5 0.6894 0.4434 0.5675
Ga6 0.7165 0.0029 0.7125
Ga7 0.9048 0.3986 0.1346
Ga8 0.9342 0.7689 0.3337
Pt1 0.3237 0.6118 0.9480
Pt2 0.8904 0.6441 0.8017
```


[2]
This entry pairs a crystal structure of VGa2Pt9 with its theoretical powder diffraction line list. Radiation: Cu Kα X-rays. Structure: a structure optimized by DFT (GGA-PBE).

Most intense lines, 10° ≤ 2θ ≤ 80°, most intense first:
2.273 Å, rel. 100, (1 1 3)
1.968 Å, rel. 49, (2 0 0)
1.392 Å, rel. 32, (2 2 0)
3.936 Å, rel. 12, (1 0 0)
2.783 Å, rel. 10, (1 1 0)
1.760 Å, rel. 6, (2 1 0)
1.607 Å, rel. 4, (2 1 3)
1.312 Å, rel. 3, (3 0 0)
1.245 Å, rel. 2, (3 1 0)

Structure:
```
data_VGa2Pt9
_chemical_formula_sum 'V1 Ga2 Pt9'
_symmetry_space_group_name_H-M 'P 4/m m m'
_symmetry_Int_Tables_number 123
_symmetry_space_group_name_Hall '-P 4 2'
_cell_length_a 3.9346
_cell_length_b 3.9346
_cell_length_c 11.8172
_cell_angle_alpha 90.00
_cell_angle_beta 90.00
_cell_angle_gamma 90.00
loop_
_atom_site_label
_atom_site_fract_x
_atom_site_fract_y
_atom_site_fract_z
V1 0.0000 0.0000 0.0000
Ga1 0.0000 0.0000 0.3369
Pt1 0.0000 0.5000 0.1612
Pt2 0.0000 0.5000 0.5000
Pt3 0.5000 0.5000 0.0000
Pt4 0.5000 0.5000 0.3309
```


[3]
This entry pairs a crystal structure of V12Ga3Pt with its theoretical powder diffraction line list. Radiation: Cu Kα X-rays. Structure: a structure optimized by DFT (GGA-PBE).

Most intense lines, 10° ≤ 2θ ≤ 80°, most intense first:
1.953 Å, rel. 100, (1 2 2)
1.959 Å, rel. 51, (1 1 4)
2.389 Å, rel. 47, (2 0 0)
3.385 Å, rel. 41, (1 1 0)
2.140 Å, rel. 37, (0 2 2)
1.278 Å, rel. 36, (2 3 2)
2.147 Å, rel. 31, (1 0 4)
2.136 Å, rel. 24, (2 1 0)
2.404 Å, rel. 24, (0 0 4)
1.282 Å, rel. 24, (2 1 6)

Structure:
```
data_V12Ga3Pt
_chemical_formula_sum 'V12 Ga3 Pt1'
_symmetry_space_group_name_H-M 'P m m m'
_symmetry_Int_Tables_number 47
_symmetry_space_group_name_Hall '-P 2 2'
_cell_length_a 4.7730
_cell_length_b 4.7838
_cell_length_c 9.6147
_cell_angle_alpha 90.00
_cell_angle_beta 90.00
_cell_angle_gamma 90.00
loop_
_atom_site_label
_atom_site_fract_x
_atom_site_fract_y
_atom_site_fract_z
V1 0.0000 0.0000 0.1207
V2 0.0000 0.0000 0.3695
V3 0.2489 0.5000 0.5000
V4 0.2505 0.5000 0.0000
V5 0.5000 0.2469 0.2507
Ga1 0.0000 0.5000 0.2512
Ga2 0.5000 0.0000 0.5000
Pt1 0.5000 0.0000 0.0000
```


[4]
This entry pairs a crystal structure of Y6Ga17Pt5 with its theoretical powder diffraction line list. Radiation: Cu Kα X-rays. Structure: a structure optimized by DFT (GGA-PBE).

Most intense lines, 10° ≤ 2θ ≤ 80°, most intense first:
2.537 Å, rel. 100, (5 1 -1)
2.121 Å, rel. 31, (0 2 0)
6.155 Å, rel. 24, (2 0 -2)
2.405 Å, rel. 22, (5 1 1)
3.122 Å, rel. 19, (3 1 1)
1.958 Å, rel. 18, (7 1 -3)
2.052 Å, rel. 18, (6 0 -6)
1.992 Å, rel. 16, (1 1 -7)
2.129 Å, rel. 13, (5 1 -5)
1.964 Å, rel. 13, (4 0 6)

Structure:
```
data_Y6Ga17Pt5
_chemical_formula_sum 'Y12 Ga34 Pt10'
_symmetry_space_group_name_H-M 'C 1 2/m 1'
_symmetry_Int_Tables_number 12
_symmetry_space_group_name_Hall '-C 2y'
_cell_length_a 15.8451
_cell_length_b 4.2426
_cell_length_c 15.8102
_cell_angle_alpha 90.00
_cell_angle_beta 102.12
_cell_angle_gamma 90.00
loop_
_atom_site_label
_atom_site_fract_x
_atom_site_fract_y
_atom_site_fract_z
Y1 0.0901 0.0000 0.4098
Y2 0.0899 0.5000 0.9114
Y3 0.2487 0.0000 0.2491
Ga1 0.0000 0.5000 0.5000
Ga2 0.0446 0.0000 0.1742
Ga3 0.0467 0.5000 0.6754
Ga4 0.1017 0.5000 0.2694
Ga5 0.1042 0.0000 0.7710
Ga6 0.1737 0.0000 0.0452
Ga7 0.1781 0.5000 0.5452
Ga8 0.2283 0.5000 0.3950
Ga9 0.2304 0.0000 0.8987
Pt1 0.0000 0.0000 0.0000
Pt2 0.1077 0.5000 0.1079
Pt3 0.1120 0.0000 0.6113
```